1.
MgMn6O8F4: theoretical powder XRD pattern (Cu Kα), based on a cell relaxed with PBE+U.

Most intense lines, 2θ = 10–80°, in order of rising 2θ:
h k l	d [Å]	Position (°2θ)	I (rel.)
1 1 1	3.761	23.66	100
-1 1 1	3.360	26.53	82
2 0 0	2.584	34.72	22
1 -1 2	2.572	34.88	43
0 2 -1	2.537	35.38	19
2 -2 1	1.758	52.01	19

Structure:
Cell lengths 5.2030, 5.7351, 7.6761 Å; angles 81.74, 85.98, 84.42 degrees
Space group P1 (No. 1)
Symmetry-distinct sites (fractional):
1 Mg 0.0000 0.0000 0.0000 [1 per cell]
2 Mn 0.0124 0.6498 0.7899 [1 per cell]
3 Mn 0.0200 0.3873 0.1649 [1 per cell]
4 Mn 0.5013 0.8290 0.1270 [1 per cell]
5 Mn 0.5058 0.1860 0.8037 [1 per cell]
6 Mn 0.5553 0.5368 0.4911 [1 per cell]
7 Mn 0.9885 0.0261 0.4782 [1 per cell]
8 O 0.1605 0.6597 0.0299 [1 per cell]
9 O 0.3229 0.1375 0.0367 [1 per cell]
10 O 0.3429 0.4935 0.7098 [1 per cell]
11 O 0.6977 0.2308 0.5821 [1 per cell]
12 O 0.6987 0.5608 0.2433 [1 per cell]
13 O 0.7029 0.8772 0.9039 [1 per cell]
14 O 0.8551 0.7302 0.5668 [1 per cell]
15 O 0.8776 0.0819 0.2431 [1 per cell]
16 F 0.1617 0.9988 0.7179 [1 per cell]
17 F 0.1962 0.3056 0.4008 [1 per cell]
18 F 0.3423 0.8253 0.3750 [1 per cell]
19 F 0.8484 0.3361 0.9138 [1 per cell]

=====

2.
MgVBr2O: theoretical powder XRD pattern (Cu Kα), based on a cell relaxed with PBE+U.

Most intense lines, 2θ = 10–80°, in order of rising 2θ:
h k l	d [Å]	Position (°2θ)	I (rel.)
1 0 -1	3.667	24.27	32
0 1 1	3.436	25.93	100
1 0 1	3.185	28.01	29
0 0 3	3.031	29.47	28
1 1 -3	2.375	37.88	30
2 1 -3	1.644	55.94	21

Structure:
Cell lengths 3.7440, 4.1704, 9.5080 Å; angles 102.50, 101.34, 90.02 degrees
Space group P1 (No. 1)
Symmetry-distinct sites (fractional):
1 Mg 0.0000 0.0000 0.0000 [1 per cell]
2 V 0.7591 0.7487 0.5081 [1 per cell]
3 Br 0.5917 0.0909 0.1829 [1 per cell]
4 Br 0.9259 0.4221 0.8423 [1 per cell]
5 O 0.2689 0.7657 0.5274 [1 per cell]

=====

3.
Li3Fe2P2C2O14: theoretical powder XRD pattern (Cu Kα), based on a cell relaxed with PBE+U.

Most intense lines, 2θ = 10–80°, in order of rising 2θ:
h k l	d [Å]	Position (°2θ)	I (rel.)
0 0 1	8.341	10.61	82
1 1 0	4.537	19.56	55
1 1 -2	4.206	21.12	71
0 2 -2	3.528	25.25	27
1 1 1	3.376	26.40	35
2 -2 0	3.241	27.52	100

Structure:
Cell lengths 8.2625, 8.2795, 9.4436 Å; angles 106.58, 107.27, 103.21 degrees
Space group P-1 (No. 2)
Symmetry-distinct sites (fractional):
1 Li 0.0604 0.3065 0.1038 [2 per cell]
2 Li 0.2170 0.7532 0.7188 [2 per cell]
3 Li 0.4311 0.1923 0.8944 [2 per cell]
4 Fe 0.0570 0.3054 0.6710 [2 per cell]
5 Fe 0.4344 0.1919 0.3338 [2 per cell]
6 P 0.1928 0.4524 0.4239 [2 per cell]
7 P 0.2998 0.0503 0.5795 [2 per cell]
8 C 0.2528 0.5052 0.9591 [2 per cell]
9 C 0.2565 0.9937 0.0398 [2 per cell]
10 O 0.0577 0.3301 0.4684 [2 per cell]
11 O 0.0801 0.5182 0.3031 [2 per cell]
12 O 0.1204 0.3637 0.9296 [2 per cell]
13 O 0.1478 0.9052 0.4255 [2 per cell]
14 O 0.1613 0.8752 0.9001 [2 per cell]
15 O 0.2223 0.9788 0.1627 [2 per cell]
16 O 0.2314 0.1719 0.6890 [2 per cell]
17 O 0.2682 0.5300 0.8315 [2 per cell]
18 O 0.2762 0.3416 0.3237 [2 per cell]
19 O 0.3317 0.6085 0.5799 [2 per cell]
20 O 0.3647 0.6155 0.0953 [2 per cell]
21 O 0.3923 0.1363 0.0743 [2 per cell]
22 O 0.4003 0.9677 0.6924 [2 per cell]
23 O 0.4289 0.1640 0.5274 [2 per cell]

=====

4.
Li7Mn5O12: theoretical powder XRD pattern (Cu Kα), based on a cell relaxed with PBE+U.

Most intense lines, 2θ = 10–80°, in order of rising 2θ:
h k l	d [Å]	Position (°2θ)	I (rel.)
1 0 0	4.838	18.34	100
0 2 -2	2.611	34.34	16
1 2 -2	2.178	41.45	35
-2 2 1	2.058	44.00	29
1 0 3	2.051	44.16	28
3 0 -3	1.490	62.33	16

Structure:
Cell lengths 5.0943, 6.0187, 7.7984 Å; angles 103.67, 97.03, 104.53 degrees
Space group P-1 (No. 2)
Symmetry-distinct sites (fractional):
1 Li 0.0000 0.0000 0.0000 [1 per cell]
2 Li 0.4864 0.9159 0.1597 [2 per cell]
3 Li 0.4902 0.2453 0.4994 [2 per cell]
4 Li 0.4971 0.5845 0.8374 [2 per cell]
5 Mn 0.0000 0.5000 0.0000 [1 per cell]
6 Mn 0.0017 0.3323 0.3294 [2 per cell]
7 Mn 0.0056 0.8415 0.3286 [2 per cell]
8 O 0.2175 0.7574 0.9131 [2 per cell]
9 O 0.2183 0.4522 0.5798 [2 per cell]
10 O 0.2237 0.2967 0.9072 [2 per cell]
11 O 0.2301 0.1281 0.2586 [2 per cell]
12 O 0.2324 0.9653 0.5736 [2 per cell]
13 O 0.2365 0.6366 0.2366 [2 per cell]

=====

5.
FeP2NO7: theoretical powder XRD pattern (Cu Kα), based on a cell relaxed with PBE+U.

Most intense lines, 2θ = 10–80°, in order of rising 2θ:
h k l	d [Å]	Position (°2θ)	I (rel.)
1 1 0	6.022	14.71	100
1 1 -1	5.387	16.45	38
0 0 2	4.076	21.80	54
1 1 2	3.099	28.81	31
1 3 0	3.055	29.24	37
2 2 -1	3.029	29.49	41

Structure:
Cell lengths 7.7812, 10.0255, 8.4213 Å; angles 90.00, 104.52, 90.00 degrees
Space group P2_1/c (No. 14)
Symmetry-distinct sites (fractional):
1 Fe 0.2388 0.0848 0.2604 [4 per cell]
2 P 0.1310 0.1057 0.8353 [4 per cell]
3 P 0.4259 0.1345 0.6799 [4 per cell]
4 N 0.2009 0.6953 0.0208 [4 per cell]
5 O 0.0216 0.5228 0.7665 [4 per cell]
6 O 0.0977 0.2470 0.2903 [4 per cell]
7 O 0.1619 0.0780 0.0171 [4 per cell]
8 O 0.3101 0.0586 0.7875 [4 per cell]
9 O 0.3397 0.1017 0.5012 [4 per cell]
10 O 0.3868 0.5795 0.7633 [4 per cell]
11 O 0.4239 0.2154 0.2157 [4 per cell]

=====

6.
LaCrBiO6: theoretical powder XRD pattern (Cu Kα), based on a cell relaxed with PBE+U.

Most intense lines, 2θ = 10–80°, in order of rising 2θ:
h k l	d [Å]	Position (°2θ)	I (rel.)
1 0 0	4.671	19.00	81
1 1 -1	4.405	20.16	48
1 1 -2	3.759	23.67	63
0 1 2	3.261	27.35	76
1 2 -1	2.904	30.79	100
1 1 1	2.879	31.06	50

Structure:
Cell lengths 5.8538, 6.6905, 9.3623 Å; angles 90.00, 127.06, 90.00 degrees
Space group Pc (No. 7)
Symmetry-distinct sites (fractional):
1 La 0.0000 0.0954 0.0000 [2 per cell]
2 Cr 0.2920 0.3114 0.7415 [2 per cell]
3 Bi 0.8178 0.3851 0.2453 [2 per cell]
4 O 0.0081 0.1053 0.2806 [2 per cell]
5 O 0.1613 0.3480 0.8642 [2 per cell]
6 O 0.3318 0.4687 0.1749 [2 per cell]
7 O 0.4504 0.0953 0.7315 [2 per cell]
8 O 0.6924 0.3466 0.9762 [2 per cell]
9 O 0.9567 0.2478 0.5475 [2 per cell]

=====

7.
Ba3FeRu2O9: theoretical powder XRD pattern (Cu Kα), based on a cell relaxed with PBE+U.

Most intense lines, 2θ = 10–80°, in order of rising 2θ:
h k l	d [Å]	Position (°2θ)	I (rel.)
1 0 3	3.446	25.86	15
1 1 0	2.901	30.83	100
2 0 3	2.219	40.65	11
2 0 4	2.051	44.16	23
3 0 0	1.675	54.81	30
2 2 0	1.450	64.21	14

Structure:
Cell lengths 5.8026, 5.8026, 14.2030 Å; angles 90.00, 90.00, 120.00 degrees
Space group P6_3mc (No. 186)
Symmetry-distinct sites (fractional):
1 Ba 0.0000 0.0000 0.0000 [2 per cell]
2 Ba 0.3333 0.6667 0.1533 [2 per cell]
3 Ba 0.3333 0.6667 0.8402 [2 per cell]
4 Fe 0.3333 0.6667 0.5964 [2 per cell]
5 Ru 0.0000 0.0000 0.2500 [2 per cell]
6 Ru 0.3333 0.6667 0.4043 [2 per cell]
7 O 0.0293 0.5147 0.4939 [6 per cell]
8 O 0.1626 0.3251 0.6677 [6 per cell]
9 O 0.1656 0.3312 0.3275 [6 per cell]

=====

Repeat the fifth record exactly.
FeP2NO7: theoretical powder XRD pattern (Cu Kα), based on a cell relaxed with PBE+U.

Most intense lines, 2θ = 10–80°, in order of rising 2θ:
h k l	d [Å]	Position (°2θ)	I (rel.)
1 1 0	6.022	14.71	100
1 1 -1	5.387	16.45	38
0 0 2	4.076	21.80	54
1 1 2	3.099	28.81	31
1 3 0	3.055	29.24	37
2 2 -1	3.029	29.49	41

Structure:
Cell lengths 7.7812, 10.0255, 8.4213 Å; angles 90.00, 104.52, 90.00 degrees
Space group P2_1/c (No. 14)
Symmetry-distinct sites (fractional):
1 Fe 0.2388 0.0848 0.2604 [4 per cell]
2 P 0.1310 0.1057 0.8353 [4 per cell]
3 P 0.4259 0.1345 0.6799 [4 per cell]
4 N 0.2009 0.6953 0.0208 [4 per cell]
5 O 0.0216 0.5228 0.7665 [4 per cell]
6 O 0.0977 0.2470 0.2903 [4 per cell]
7 O 0.1619 0.0780 0.0171 [4 per cell]
8 O 0.3101 0.0586 0.7875 [4 per cell]
9 O 0.3397 0.1017 0.5012 [4 per cell]
10 O 0.3868 0.5795 0.7633 [4 per cell]
11 O 0.4239 0.2154 0.2157 [4 per cell]